The following is a computed powder diffractogram of Cs2NpI5Cl. It was derived from a structure optimized by DFT (PBE), using CuKα.
Peak positions follow from Bragg's law for the DFT cell and can differ from measured ones.

Crystal structure
```
data_Cs2NpI5Cl
_chemical_formula_sum 'Cs4 Np2 I10 Cl2'
_cell_length_a 8.633
_cell_length_b 8.633
_cell_length_c 11.765
_cell_angle_alpha 90.00
_cell_angle_beta 90.00
_cell_angle_gamma 90.00
_symmetry_space_group_name_H-M 'I 4 m m'
_symmetry_Int_Tables_number 107
_symmetry_space_group_name_Hall 'I 4 -2'
loop_
_atom_site_label
_atom_site_fract_x
_atom_site_fract_y
_atom_site_fract_z
Cs1 0.000 0.500 0.000
Np1 0.000 0.000 0.245
I1 0.000 0.000 0.501
I2 0.247 0.247 0.250
Cl1 0.000 0.000 0.027
```

Top 10 peaks for 10° ≤ 2θ ≤ 90°, sorted by position:
| 2θ/deg | d/Å | I_rel | index |
| --- | --- | --- | --- |
| 12.72 | 6.960 | 66 | 1 0 1 |
| 20.97 | 4.236 | 36 | 1 1 2 |
| 24.26 | 3.668 | 27 | 2 1 1 |
| 25.60 | 3.480 | 100 | 2 0 2 |
| 29.26 | 3.052 | 97 | 2 2 0 |
| 30.39 | 2.941 | 43 | 0 0 4 |
| 41.86 | 2.158 | 36 | 4 0 0 |
| 42.69 | 2.118 | 68 | 2 2 4 |
| 49.71 | 1.834 | 30 | 4 2 2 |
| 52.60 | 1.740 | 37 | 4 0 4 |